This entry pairs a crystal structure of KBrO2 with its computed PXRD pattern. Radiation: Cu Kα X-rays. Structure: a crystal structure in Alexandria, relaxed with PBE.

Principal peaks in the range 10° ≤ 2θ ≤ 90°, sorted by position:
(0 1 0), 2θ = 19.1°, rel. 43.2
(0 0 2), 2θ = 20.1°, rel. 47.8
(1 0 0), 2θ = 21.0°, rel. 56.0
(1 0 2), 2θ = 26.0°, rel. 92.4
(0 1 2), 2θ = 27.4°, rel. 86.1
(1 1 0), 2θ = 27.8°, rel. 100.0
(0 1 -2), 2θ = 28.4°, rel. 64.5
(1 -1 0), 2θ = 29.3°, rel. 60.8
(1 0 -2), 2θ = 32.2°, rel. 76.1
(0 2 0), 2θ = 38.8°, rel. 56.7

Cell and atoms:
```
data_KBrO2
_space_group_name_H-M_alt 'P 1'
_space_group_IT_number 1
_cell_length_a 4.3287
_cell_length_b 4.6508
_cell_length_c 9.0261
_cell_angle_alpha 87.38
_cell_angle_beta 78.00
_cell_angle_gamma 86.47
loop_
_space_group_symop_operation_xyz
'x,y,z'
loop_
_atom_site_label
_atom_site_fract_x
_atom_site_fract_y
_atom_site_fract_z
K1 0.0000 0.0000 0.0000
K2 0.1463 0.0130 0.5708
Br1 0.4638 0.5434 0.2452
Br2 0.5719 0.5352 0.8083
O1 0.4022 0.9016 0.2116
O2 0.4112 0.5065 0.4354
O3 0.5719 0.9304 0.7708
O4 0.8552 0.4804 0.1779
```

---

This entry pairs a crystal structure of NdTh2Ga6 with its computed PXRD pattern. Radiation: Cu Kα X-rays. Structure: a crystal structure in Alexandria, relaxed with PBE.

Principal peaks in the range 10° ≤ 2θ ≤ 90°, sorted by position:
(1 1 0), 2θ = 24.0°, rel. 21.0
(1 1 1), 2θ = 32.0°, rel. 100.0
(3 0 0), 2θ = 42.3°, rel. 38.0
(0 0 2), 2θ = 42.4°, rel. 12.5
(1 1 2), 2θ = 49.4°, rel. 6.5
(2 2 1), 2θ = 54.0°, rel. 23.1
(3 0 2), 2θ = 61.5°, rel. 25.0
(4 1 1), 2θ = 70.9°, rel. 20.5
(1 1 3), 2θ = 71.1°, rel. 10.1
(3 3 0), 2θ = 77.3°, rel. 6.4

Cell and atoms:
```
data_NdTh2Ga6
_space_group_name_H-M_alt 'P 6/m m m'
_space_group_IT_number 191
_space_group_name_Hall '-P 6 2'
_cell_length_a 7.4026
_cell_length_b 7.4026
_cell_length_c 4.2605
_cell_angle_alpha 90.00
_cell_angle_beta 90.00
_cell_angle_gamma 120.00
loop_
_atom_site_label
_atom_site_fract_x
_atom_site_fract_y
_atom_site_fract_z
Nd1 0.0000 0.0000 0.0000
Th1 0.3333 0.6667 0.0000
Ga1 0.0000 0.3333 0.5000
```

---

This entry pairs a crystal structure of NaZn2CdF7 with its computed PXRD pattern. Radiation: Cu Kα X-rays. Structure: a crystal structure in Alexandria, relaxed with PBE.

Principal peaks in the range 10° ≤ 2θ ≤ 90°, sorted by position:
(0 1 1), 2θ = 14.5°, rel. 21.9
(0 0 2), 2θ = 16.9°, rel. 22.7
(0 2 2), 2θ = 29.3°, rel. 99.6
(2 0 2), 2θ = 29.6°, rel. 100.0
(2 2 0), 2θ = 34.2°, rel. 21.8
(0 4 0), 2θ = 48.8°, rel. 20.4
(2 2 4), 2θ = 49.1°, rel. 81.3
(4 0 0), 2θ = 49.6°, rel. 20.9
(2 4 2), 2θ = 58.1°, rel. 41.6
(4 2 2), 2θ = 58.6°, rel. 26.0

Cell and atoms:
```
data_NaZn2CdF7
_space_group_name_H-M_alt 'I m m a'
_space_group_IT_number 74
_space_group_name_Hall '-I 2b 2'
_cell_length_a 7.3547
_cell_length_b 7.4714
_cell_length_c 10.5226
_cell_angle_alpha 90.00
_cell_angle_beta 90.00
_cell_angle_gamma 90.00
loop_
_atom_site_label
_atom_site_fract_x
_atom_site_fract_y
_atom_site_fract_z
Na1 0.2500 0.2500 0.2500
Zn1 0.0000 0.0000 0.0000
Zn2 0.2500 0.2500 0.7500
Cd1 0.0000 0.0000 0.5000
F1 0.0000 0.2500 0.0766
F2 0.0000 0.2500 0.3848
F3 0.0000 0.2500 0.6645
F4 0.2160 0.0442 0.8774
```

---

This entry pairs a crystal structure of Mg2Sn with its computed PXRD pattern. Radiation: Cu Kα X-rays. Structure: a crystal structure in Alexandria, relaxed with PBE.

Principal peaks in the range 10° ≤ 2θ ≤ 90°, sorted by position:
(0 0 3), 2θ = 17.4°, rel. 35.8
(1 0 1), 2θ = 18.9°, rel. 25.6
(1 1 0), 2θ = 31.5°, rel. 42.3
(0 0 6), 2θ = 35.2°, rel. 21.1
(1 1 3), 2θ = 36.2°, rel. 100.0
(1 1 6), 2θ = 47.9°, rel. 25.5
(3 0 0), 2θ = 56.1°, rel. 17.3
(1 1 9), 2θ = 63.8°, rel. 17.9
(3 0 6), 2θ = 68.0°, rel. 18.9
(2 2 3), 2θ = 68.6°, rel. 15.8

Cell and atoms:
```
data_Mg2Sn
_space_group_name_H-M_alt 'R 3 2'
_space_group_IT_number 155
_space_group_name_Hall 'R 3 2"'
_cell_length_a 5.6821
_cell_length_b 5.6821
_cell_length_c 15.2990
_cell_angle_alpha 90.00
_cell_angle_beta 90.00
_cell_angle_gamma 120.00
loop_
_atom_site_label
_atom_site_fract_x
_atom_site_fract_y
_atom_site_fract_z
Mg1 0.0000 0.0000 0.0000
Mg2 0.0000 0.3406 0.5000
Sn1 0.0000 0.0000 0.3396
```

---

This entry pairs a crystal structure of TaAl3Fe4 with its computed PXRD pattern. Radiation: Cu Kα X-rays. Structure: a crystal structure in Alexandria, relaxed with PBE.

Principal peaks in the range 10° ≤ 2θ ≤ 90°, sorted by position:
(0 0 2), 2θ = 15.4°, rel. 31.7
(0 0 3), 2θ = 23.2°, rel. 11.5
(1 0 1), 2θ = 31.3°, rel. 24.9
(1 0 2), 2θ = 34.2°, rel. 19.5
(1 0 3), 2θ = 38.5°, rel. 18.3
(1 1 0), 2θ = 43.4°, rel. 52.7
(1 0 4), 2θ = 44.0°, rel. 100.0
(2 0 0), 2θ = 63.0°, rel. 16.6
(2 1 4), 2θ = 80.0°, rel. 32.3
(1 1 8), 2θ = 81.3°, rel. 15.0

Cell and atoms:
```
data_TaAl3Fe4
_space_group_name_H-M_alt 'P 4/m m m'
_space_group_IT_number 123
_space_group_name_Hall '-P 4 2'
_cell_length_a 2.9506
_cell_length_b 2.9506
_cell_length_c 11.4891
_cell_angle_alpha 90.00
_cell_angle_beta 90.00
_cell_angle_gamma 90.00
loop_
_atom_site_label
_atom_site_fract_x
_atom_site_fract_y
_atom_site_fract_z
Ta1 0.0000 0.0000 0.0000
Al1 0.0000 0.0000 0.2574
Al2 0.0000 0.0000 0.5000
Fe1 0.5000 0.5000 0.1298
Fe2 0.5000 0.5000 0.3793
```

---

This entry pairs a crystal structure of Ho2ErNi with its computed PXRD pattern. Radiation: Cu Kα X-rays. Structure: a crystal structure in Alexandria, relaxed with PBE.

Principal peaks in the range 10° ≤ 2θ ≤ 90°, sorted by position:
(1 0 2), 2θ = 31.4°, rel. 87.8
(0 3 1), 2θ = 31.6°, rel. 100.0
(2 2 0), 2θ = 32.4°, rel. 59.2
(1 1 2), 2θ = 32.8°, rel. 67.6
(1 3 1), 2θ = 34.3°, rel. 36.4
(2 2 1), 2θ = 35.5°, rel. 51.6
(2 3 0), 2θ = 38.9°, rel. 21.5
(1 2 3), 2θ = 49.5°, rel. 26.9
(1 3 3), 2θ = 54.2°, rel. 23.3
(3 3 2), 2θ = 58.0°, rel. 29.6

Cell and atoms:
```
data_Ho2ErNi
_space_group_name_H-M_alt 'P n m a'
_space_group_IT_number 62
_cell_length_a 6.7959
_cell_length_b 9.5030
_cell_length_c 6.2765
_cell_angle_alpha 90.00
_cell_angle_beta 90.00
_cell_angle_gamma 90.00
loop_
_space_group_symop_operation_xyz
'x,y,z'
'-x,-y,-z'
'-x+1/2,-y,z+1/2'
'x+1/2,y,-z+1/2'
'x+1/2,-y+1/2,-z+1/2'
'-x+1/2,y+1/2,z+1/2'
'-x,y+1/2,-z'
'x,-y+1/2,z'
loop_
_atom_site_label
_atom_site_fract_x
_atom_site_fract_y
_atom_site_fract_z
Ho1 0.1794 0.0656 0.1785
Er1 0.0336 0.2500 0.6392
Ni1 0.1086 0.7500 0.9485
```

---

This entry pairs a crystal structure of Np3USb2 with its computed PXRD pattern. Radiation: Cu Kα X-rays. Structure: a crystal structure in Alexandria, relaxed with PBE.

Principal peaks in the range 10° ≤ 2θ ≤ 90°, sorted by position:
(2 0 -2), 2θ = 24.0°, rel. 56.1
(3 1 -2), 2θ = 29.5°, rel. 40.5
(2 2 0), 2θ = 34.1°, rel. 53.8
(1 1 2), 2θ = 34.6°, rel. 100.0
(6 0 0), 2θ = 38.3°, rel. 46.0
(4 2 0), 2θ = 40.8°, rel. 57.2
(0 2 2), 2θ = 42.1°, rel. 34.4
(6 2 -2), 2θ = 47.9°, rel. 30.5
(4 0 -4), 2θ = 49.2°, rel. 25.2
(0 4 0), 2θ = 65.8°, rel. 39.0

Cell and atoms:
```
data_Np3USb2
_space_group_name_H-M_alt 'C 1 2/c 1'
_space_group_IT_number 15
_cell_length_a 15.9084
_cell_length_b 5.6767
_cell_length_c 7.4121
_cell_angle_alpha 90.00
_cell_angle_beta 117.69
_cell_angle_gamma 90.00
loop_
_space_group_symop_operation_xyz
'x,y,z'
'-x,-y,-z'
'-x,y,-z+1/2'
'x,-y,z+1/2'
'x+1/2,y+1/2,z'
'-x+1/2,-y+1/2,-z'
'-x+1/2,y+1/2,-z+1/2'
'x+1/2,-y+1/2,z+1/2'
loop_
_atom_site_label
_atom_site_fract_x
_atom_site_fract_y
_atom_site_fract_z
Np1 0.0000 0.2383 0.2500
Np2 0.1566 0.4897 0.4072
U1 0.0000 0.2454 0.7500
Sb1 0.1553 0.0001 0.1551
```

---

This entry pairs a crystal structure of Ca2Hg6Pd with its computed PXRD pattern. Radiation: Cu Kα X-rays. Structure: a crystal structure in Alexandria, relaxed with PBE.

Principal peaks in the range 10° ≤ 2θ ≤ 90°, sorted by position:
(0 0 1), 2θ = 19.9°, rel. 26.7
(2 0 0), 2θ = 23.6°, rel. 64.2
(0 2 1), 2θ = 24.0°, rel. 30.0
(1 3 1), 2θ = 30.9°, rel. 46.1
(0 4 1), 2θ = 33.8°, rel. 89.5
(2 2 1), 2θ = 34.0°, rel. 78.5
(3 1 0), 2θ = 36.4°, rel. 33.2
(0 0 2), 2θ = 40.4°, rel. 49.4
(2 4 1), 2θ = 41.6°, rel. 100.0
(5 3 1), 2θ = 69.2°, rel. 36.5

Cell and atoms:
```
data_Ca2Hg6Pd
_space_group_name_H-M_alt 'C m m m'
_space_group_IT_number 65
_space_group_name_Hall '-C 2 2'
_cell_length_a 7.5306
_cell_length_b 13.2022
_cell_length_c 4.4701
_cell_angle_alpha 90.00
_cell_angle_beta 90.00
_cell_angle_gamma 90.00
loop_
_atom_site_label
_atom_site_fract_x
_atom_site_fract_y
_atom_site_fract_z
Ca1 0.0000 0.1975 0.0000
Hg1 0.1938 0.3580 0.5000
Hg2 0.2326 0.5000 0.0000
Pd1 0.0000 0.0000 0.5000
```

---

This entry pairs a crystal structure of Th2Cd4Ag3 with its computed PXRD pattern. Radiation: Cu Kα X-rays. Structure: a crystal structure in Alexandria, relaxed with PBE.

Principal peaks in the range 10° ≤ 2θ ≤ 90°, sorted by position:
(1 3 2), 2θ = 30.5°, rel. 56.6
(2 2 1), 2θ = 32.6°, rel. 54.8
(1 5 1), 2θ = 32.8°, rel. 100.0
(0 2 3), 2θ = 33.8°, rel. 51.8
(0 6 1), 2θ = 34.7°, rel. 26.2
(2 0 2), 2θ = 35.9°, rel. 85.7
(2 4 0), 2θ = 36.4°, rel. 30.5
(0 6 2), 2θ = 39.5°, rel. 23.1
(3 5 1), 2θ = 53.5°, rel. 24.9
(2 6 4), 2θ = 63.5°, rel. 24.5

Cell and atoms:
```
data_Th2Cd4Ag3
_space_group_name_H-M_alt 'C m c e'
_space_group_IT_number 64
_space_group_name_Hall '-C 2ac 2'
_cell_length_a 6.2163
_cell_length_b 16.2777
_cell_length_c 8.4138
_cell_angle_alpha 90.00
_cell_angle_beta 90.00
_cell_angle_gamma 90.00
loop_
_atom_site_label
_atom_site_fract_x
_atom_site_fract_y
_atom_site_fract_z
Th1 0.0000 0.1084 0.0971
Cd1 0.0000 0.1777 0.4838
Cd2 0.2500 0.0601 0.7500
Ag1 0.0000 0.0000 0.5000
Ag2 0.2500 0.2343 0.7500
```

---

This entry pairs a crystal structure of Pr8Dy2Al with its computed PXRD pattern. Radiation: Cu Kα X-rays. Structure: a crystal structure in Alexandria, relaxed with PBE.

Principal peaks in the range 10° ≤ 2θ ≤ 90°, sorted by position:
(4 0 -2), 2θ = 25.2°, rel. 23.5
(5 1 -1), 2θ = 29.7°, rel. 40.4
(1 1 2), 2θ = 30.9°, rel. 100.0
(5 1 0), 2θ = 31.4°, rel. 43.6
(0 2 0), 2θ = 32.2°, rel. 51.5
(6 0 0), 2θ = 32.4°, rel. 14.6
(5 1 -2), 2θ = 32.7°, rel. 37.8
(4 0 -3), 2θ = 34.0°, rel. 14.3
(4 2 -2), 2θ = 41.3°, rel. 12.7
(1 3 2), 2θ = 56.6°, rel. 19.7

Cell and atoms:
```
data_Pr8Dy2Al
_space_group_name_H-M_alt 'C 1 2/m 1'
_space_group_IT_number 12
_cell_length_a 17.9175
_cell_length_b 5.5600
_cell_length_c 8.1326
_cell_angle_alpha 90.00
_cell_angle_beta 112.45
_cell_angle_gamma 90.00
loop_
_space_group_symop_operation_xyz
'x,y,z'
'-x,-y,-z'
'-x,y,-z'
'x,-y,z'
'x+1/2,y+1/2,z'
'-x+1/2,-y+1/2,-z'
'-x+1/2,y+1/2,-z'
'x+1/2,-y+1/2,z'
loop_
_atom_site_label
_atom_site_fract_x
_atom_site_fract_y
_atom_site_fract_z
Pr1 0.0149 0.0000 0.2680
Pr2 0.1048 0.5000 0.9235
Pr3 0.1606 0.5000 0.4131
Pr4 0.1768 0.0000 0.7202
Dy1 0.1919 0.0000 0.1558
Al1 0.0000 0.5000 0.5000
```

---

This entry pairs a crystal structure of SmHoTm6 with its computed PXRD pattern. Radiation: Cu Kα X-rays. Structure: a crystal structure in Alexandria, relaxed with PBE.

Principal peaks in the range 10° ≤ 2θ ≤ 90°, sorted by position:
(0 4 0), 2θ = 30.8°, rel. 58.5
(2 2 1), 2θ = 32.7°, rel. 100.0
(0 4 2), 2θ = 44.2°, rel. 22.0
(4 0 0), 2θ = 49.6°, rel. 7.8
(2 2 3), 2θ = 56.1°, rel. 43.6
(4 4 0), 2θ = 59.6°, rel. 18.1
(0 0 4), 2θ = 64.3°, rel. 7.2
(4 4 2), 2θ = 68.6°, rel. 11.9
(2 6 3), 2θ = 74.0°, rel. 9.6
(6 2 1), 2θ = 82.1°, rel. 7.3

Cell and atoms:
```
data_SmHoTm6
_space_group_name_H-M_alt 'C m m m'
_space_group_IT_number 65
_space_group_name_Hall '-C 2 2'
_cell_length_a 7.3484
_cell_length_b 11.6018
_cell_length_c 5.7949
_cell_angle_alpha 90.00
_cell_angle_beta 90.00
_cell_angle_gamma 90.00
loop_
_atom_site_label
_atom_site_fract_x
_atom_site_fract_y
_atom_site_fract_z
Sm1 0.0000 0.0000 0.0000
Ho1 0.0000 0.5000 0.0000
Tm1 0.0000 0.2472 0.5000
Tm2 0.2441 0.5000 0.5000
Tm3 0.2500 0.2500 0.0000
```

---

This entry pairs a crystal structure of CaAc2F11 with its computed PXRD pattern. Radiation: Cu Kα X-rays. Structure: a crystal structure in Alexandria, relaxed with PBE.

Principal peaks in the range 10° ≤ 2θ ≤ 90°, sorted by position:
(0 0 2), 2θ = 12.9°, rel. 100.0
(1 2 1), 2θ = 20.9°, rel. 65.0
(0 2 2), 2θ = 21.1°, rel. 34.3
(2 0 0), 2θ = 21.8°, rel. 17.5
(2 0 2), 2θ = 25.4°, rel. 31.0
(1 2 3), 2θ = 27.9°, rel. 17.1
(2 2 2), 2θ = 30.5°, rel. 17.8
(1 4 1), 2θ = 36.0°, rel. 26.7
(2 2 4), 2θ = 38.2°, rel. 18.0
(1 4 3), 2θ = 40.7°, rel. 32.0

Cell and atoms:
```
data_CaAc2F11
_space_group_name_H-M_alt 'I b a m'
_space_group_IT_number 72
_space_group_name_Hall '-I 2 2c'
_cell_length_a 8.1655
_cell_length_b 10.6607
_cell_length_c 13.7248
_cell_angle_alpha 90.00
_cell_angle_beta 90.00
_cell_angle_gamma 90.00
loop_
_atom_site_label
_atom_site_fract_x
_atom_site_fract_y
_atom_site_fract_z
Ca1 0.0000 0.0000 0.2500
Ac1 0.2121 0.1817 0.0000
F1 0.0000 0.5000 0.0000
F2 0.0519 0.2229 0.4093
F3 0.1887 0.0758 0.1532
F4 0.1914 0.4304 0.0000
```